Starting from a cell relaxed with GGA-PBE, the XRD peak list of HoScTiIn was simulated for CuKα.

Crystal structure
Lattice parameters (Å, degrees): 7.218 7.218 7.218 90.00 90.00 90.00
Space group F-43m (No. 216)
Asymmetric unit:
Ho  0.000  0.000  0.000 (multiplicity 4)
Sc  0.000  0.000  0.500 (multiplicity 4)
Ti  0.250  0.250  0.750 (multiplicity 4)
In  0.250  0.250  0.250 (multiplicity 4)

Most intense lines, 15° ≤ 2θ ≤ 90°, in order of rising 2θ:
2theta  d (Å)  Rel. int.  h k l
21.32  4.167  31  1 1 1
35.17  2.552  100  2 2 0
41.49  2.176  17  3 1 1
50.58  1.805  17  4 0 0
55.49  1.656  8  3 3 1
63.10  1.473  35  4 2 2
67.42  1.389  6  5 1 1
74.34  1.276  11  4 4 0
78.37  1.220  6  5 3 1
84.98  1.141  15  6 2 0

Starting from a cell relaxed with GGA-PBE, the XRD peak list of Hf2TiBi was simulated for CuKα.

Crystal structure
Lattice parameters (Å, degrees): 3.2731 3.2731 29.3666 90.00 90.00 120.00
Space group R3m (No. 160, hexagonal axes)
Asymmetric unit:
Hf  0.0000  0.0000  0.0000 (multiplicity 3)
Hf  0.0000  0.0000  0.1539 (multiplicity 3)
Ti  0.0000  0.0000  0.7432 (multiplicity 3)
Bi  0.0000  0.0000  0.5763 (multiplicity 3)

Most intense lines, 15° ≤ 2θ ≤ 90°, in order of rising 2θ:
2theta  d (Å)  Rel. int.  h k l
27.33  3.263  19  0 0 9
32.16  2.783  72  0 1 2
35.15  2.553  94  0 1 5
36.72  2.447  36  0 0 12
38.32  2.349  100  1 0 7
54.41  1.686  28  0 1 14
56.21  1.637  37  1 1 0
69.04  1.360  35  1 1 12
69.24  1.357  18  1 0 19
70.08  1.343  17  0 2 7

Starting from a cell relaxed with GGA-PBE, the XRD peak list of Na3N was simulated for CuKα.

Crystal structure
Lattice parameters (Å, degrees): 6.721 7.948 5.638 90.00 90.00 90.00
Space group Pnma (No. 62)
Asymmetric unit:
Na  0.055  0.250  0.169 (multiplicity 4)
Na  0.149  0.076  0.674 (multiplicity 8)
N  0.139  0.750  0.466 (multiplicity 4)

Most intense lines, 15° ≤ 2θ ≤ 90°, in order of rising 2θ:
2theta  d (Å)  Rel. int.  h k l
28.85  3.095  28  2 1 0
30.98  2.887  28  2 0 1
33.01  2.713  40  2 1 1
34.50  2.600  40  1 0 2
36.36  2.471  67  1 1 2
37.51  2.398  100  0 3 1
38.55  2.335  79  2 2 1
39.92  2.258  44  1 3 1
43.46  2.082  90  2 3 0
55.81  1.647  31  1 2 3

Starting from a cell relaxed with GGA-PBE, the XRD peak list of Na2PmB2O6 was simulated for CuKα.

Crystal structure
Lattice parameters (Å, degrees): 5.3841 5.3841 6.2950 90.00 90.00 120.00
Space group P-3 (No. 147)
Asymmetric unit:
Na  0.3333  0.6667  0.3513 (multiplicity 2)
Pm  0.0000  0.0000  0.0000 (multiplicity 1)
B  0.3333  0.6667  0.7867 (multiplicity 2)
O  0.0975  0.3947  0.7803 (multiplicity 6)

Most intense lines, 15° ≤ 2θ ≤ 90°, in order of rising 2θ:
2theta  d (Å)  Rel. int.  h k l
19.03  4.663  35  1 0 0
23.75  3.747  100  1 0 1
33.28  2.692  26  1 1 0
34.38  2.609  50  1 0 2
36.29  2.475  23  1 1 1
41.30  2.186  27  2 0 1
44.27  2.046  17  1 1 2
48.60  1.873  17  0 2 2
54.03  1.697  24  3 -2 1
55.53  1.655  16  2 -1 3

Starting from a cell relaxed with GGA-PBE, the XRD peak list of Sc6Sb3C was simulated for CuKα.

Crystal structure
Lattice parameters (Å, degrees): 11.785 12.617 6.434 90.00 90.00 90.00
Space group Cmc2_1 (No. 36)
Asymmetric unit:
Sc  0.000  0.012  0.000 (multiplicity 4)
Sc  0.000  0.222  0.416 (multiplicity 4)
Sc  0.138  0.228  0.847 (multiplicity 8)
Sc  0.148  0.457  0.423 (multiplicity 8)
Sb  0.000  0.382  0.090 (multiplicity 4)
Sb  0.191  0.107  0.237 (multiplicity 8)
C  0.000  0.138  0.714 (multiplicity 4)

Most intense lines, 15° ≤ 2θ ≤ 90°, in order of rising 2θ:
2theta  d (Å)  Rel. int.  h k l
17.20  5.155  26  1 1 1
24.88  3.579  100  2 2 1
26.42  3.373  37  1 3 1
31.16  2.870  30  3 3 0
31.67  2.825  35  2 0 2
34.20  2.622  63  3 3 1
36.81  2.442  38  3 1 2
40.03  2.252  25  0 4 2
42.58  2.123  20  3 5 0
46.36  1.958  25  5 3 1

Starting from a cell relaxed with GGA-PBE, the XRD peak list of La6TbYEr2 was simulated for CuKα.

Crystal structure
Lattice parameters (Å, degrees): 9.807 15.239 9.320 90.00 93.82 90.00
Space group C2/c (No. 15)
Asymmetric unit:
La  0.075  0.156  0.420 (multiplicity 8)
La  0.079  0.369  0.607 (multiplicity 8)
La  0.237  0.220  0.819 (multiplicity 8)
Tb  0.000  0.420  0.250 (multiplicity 4)
Y  0.000  0.055  0.750 (multiplicity 4)
Er  0.247  0.045  0.063 (multiplicity 8)

Most intense lines, 15° ≤ 2θ ≤ 90°, in order of rising 2θ:
2theta  d (Å)  Rel. int.  h k l
27.99  3.188  49  1 3 2
28.13  3.172  29  2 2 -2
29.00  3.079  56  3 1 -1
29.75  3.003  100  2 4 0
30.21  2.958  27  3 1 1
30.89  2.895  52  2 4 -1
31.15  2.871  83  0 2 3
32.05  2.793  31  1 5 -1
32.42  2.762  30  1 5 1
34.60  2.592  28  1 3 -3

Starting from a cell relaxed with GGA-PBE, the XRD peak list of Pm3Al2Ni7 was simulated for CuKα.

Crystal structure
Lattice parameters (Å, degrees): 5.2289 5.2289 24.0129 90.00 90.00 120.00
Space group R-3m (No. 166, hexagonal axes)
Asymmetric unit:
Pm  0.0000  0.0000  0.0000 (multiplicity 3)
Pm  0.0000  0.0000  0.1411 (multiplicity 6)
Al  0.0000  0.0000  0.3314 (multiplicity 6)
Ni  0.0000  0.0000  0.5000 (multiplicity 3)
Ni  0.0071  0.5036  0.0809 (multiplicity 18)

Most intense lines, 15° ≤ 2θ ≤ 90°, in order of rising 2θ:
2theta  d (Å)  Rel. int.  h k l
32.75  2.734  68  1 0 7
34.30  2.614  49  1 1 0
35.89  2.502  48  0 1 8
40.00  2.254  58  0 2 1
40.55  2.225  18  2 0 2
41.25  2.189  100  1 1 6
60.45  1.532  22  2 1 7
62.46  1.487  21  1 2 8
66.17  1.412  24  0 3 6
72.28  1.307  25  2 2 0

Starting from a cell relaxed with GGA-PBE, the XRD peak list of Ac4La7Er was simulated for CuKα.

Crystal structure
Lattice parameters (Å, degrees): 6.646 7.634 9.533 89.91 76.59 89.82
Space group P-1 (No. 2)
Asymmetric unit:
Ac  0.220  0.259  0.327 (multiplicity 2)
Ac  0.273  0.000  0.671 (multiplicity 2)
La  0.003  0.743  0.004 (multiplicity 2)
La  0.224  0.745  0.325 (multiplicity 2)
La  0.285  0.500  0.672 (multiplicity 2)
La  0.500  0.000  0.000 (multiplicity 1)
Er  0.500  0.500  0.000 (multiplicity 1)

Most intense lines, 15° ≤ 2θ ≤ 90°, in order of rising 2θ:
2theta  d (Å)  Rel. int.  h k l
27.06  3.295  26  1 2 0
27.63  3.228  24  1 2 1
28.89  3.091  72  0 0 3
29.84  2.995  100  2 0 2
29.92  2.986  48  -1 2 1
31.38  2.851  78  2 0 -1
31.49  2.841  36  1 -2 2
50.79  1.798  38  2 0 5
56.45  1.630  23  3 2 -2
56.57  1.627  22  -3 2 2

Starting from a cell relaxed with GGA-PBE, the XRD peak list of Sn4PdAu was simulated for CuKα.

Crystal structure
Lattice parameters (Å, degrees): 6.662 6.710 6.684 90.00 90.64 90.00
Space group P2_1/c (No. 14)
Asymmetric unit:
Sn  0.116  0.136  0.366 (multiplicity 4)
Sn  0.362  0.625  0.376 (multiplicity 4)
Pd  0.000  0.000  0.000 (multiplicity 2)
Au  0.500  0.000  0.500 (multiplicity 2)

Most intense lines, 15° ≤ 2θ ≤ 90°, in order of rising 2θ:
2theta  d (Å)  Rel. int.  h k l
26.72  3.336  46  2 0 0
29.79  2.999  100  1 0 -2
29.95  2.984  51  2 1 0
32.70  2.739  44  1 2 -1
32.98  2.716  63  2 1 1
37.98  2.369  31  0 2 2
44.85  2.021  93  1 3 1
44.95  2.017  35  3 1 -1
45.13  2.009  36  1 1 3
50.96  1.792  30  2 3 -1

Starting from a cell relaxed with GGA-PBE, the XRD peak list of Fe4Te3Se was simulated for CuKα.

Crystal structure
Lattice parameters (Å, degrees): 3.623 7.191 13.279 90.00 90.00 90.00
Space group Amm2 (No. 38)
Asymmetric unit:
Fe  0.000  0.000  0.000 (multiplicity 2)
Fe  0.000  0.000  0.498 (multiplicity 2)
Fe  0.500  0.249  0.498 (multiplicity 4)
Te  0.000  0.248  0.858 (multiplicity 4)
Te  0.500  0.000  0.139 (multiplicity 2)
Se  0.500  0.000  0.620 (multiplicity 2)

Most intense lines, 15° ≤ 2θ ≤ 90°, in order of rising 2θ:
2theta  d (Å)  Rel. int.  h k l
28.06  3.180  82  1 0 2
28.23  3.162  82  0 2 2
37.77  2.382  35  1 2 2
44.80  2.023  100  1 2 4
48.18  1.889  15  1 0 6
48.29  1.885  14  0 2 6
50.38  1.811  19  2 0 0
50.79  1.798  18  0 4 0
58.75  1.572  20  2 2 2
59.03  1.565  20  1 4 2

Starting from a cell relaxed with GGA-PBE, the XRD peak list of PaSi3Ni3 was simulated for CuKα.

Crystal structure
Lattice parameters (Å, degrees): 6.2219 6.2219 18.5582 90.00 90.00 120.00
Space group R-3 (No. 148, hexagonal axes)
Asymmetric unit:
Pa  0.0000  0.0000  0.1598 (multiplicity 6)
Si  0.0538  0.4471  0.3748 (multiplicity 18)
Ni  0.0396  0.2519  0.5813 (multiplicity 18)

Most intense lines, 15° ≤ 2θ ≤ 90°, in order of rising 2θ:
2theta  d (Å)  Rel. int.  h k l
25.33  3.516  41  1 0 4
28.70  3.111  22  1 1 0
32.21  2.779  100  2 -1 3
34.67  2.587  20  2 0 2
37.82  2.379  34  1 0 7
41.15  2.193  61  2 -1 6
44.77  2.024  43  2 1 1
53.10  1.725  19  0 3 3
53.30  1.719  22  1 1 9
59.49  1.554  18  0 3 6

Starting from a cell relaxed with GGA-PBE, the XRD peak list of USn4S7 was simulated for CuKα.

Crystal structure
Lattice parameters (Å, degrees): 5.272 7.966 8.697 88.83 87.89 73.32
Space group P-1 (No. 2)
Asymmetric unit:
U  0.000  0.000  0.000 (multiplicity 1)
Sn  0.124  0.447  0.771 (multiplicity 2)
Sn  0.435  0.075  0.333 (multiplicity 2)
S  0.014  0.017  0.702 (multiplicity 2)
S  0.152  0.664  0.996 (multiplicity 2)
S  0.316  0.392  0.358 (multiplicity 2)
S  0.500  0.000  0.000 (multiplicity 1)

Most intense lines, 15° ≤ 2θ ≤ 90°, in order of rising 2θ:
2theta  d (Å)  Rel. int.  h k l
20.06  4.427  55  1 0 1
23.32  3.815  100  0 2 0
23.45  3.793  47  0 1 2
26.09  3.416  42  -1 1 1
26.64  3.346  36  1 2 1
27.94  3.193  59  1 1 -2
30.87  2.897  42  0 0 3
33.20  2.699  44  0 1 -3
34.07  2.631  33  2 1 0
45.73  1.984  43  2 1 3